Record 1
Computed powder diffraction line list of AcTh3As4 for Cu Kα (λ = 1.5418 Å), from a cell relaxed with GGA-PBE.

Peak list (6 most intense, 2θ = 10–90°, by angle)
two_theta	d (Å)	I (rel.)
25.69	3.468	567
28.65	3.116	1000
30.53	2.928	877
41.99	2.152	861
42.59	2.123	489
68.52	1.369	351

```
AcTh3As4
1.0
4.303 0.000 0.000
-2.152 3.727 0.000
0.000 0.000 28.409
Ac Th As
2 6 8
Direct
0.333 0.667 0.250
0.667 0.333 0.750
0.000 0.000 0.000
0.000 0.000 0.500
0.333 0.667 0.620
0.333 0.667 0.880
0.667 0.333 0.120
0.667 0.333 0.380
0.000 0.000 0.180
0.000 0.000 0.320
0.000 0.000 0.680
0.000 0.000 0.820
0.333 0.667 0.060
0.333 0.667 0.440
0.667 0.333 0.560
0.667 0.333 0.940
```


Record 2
Computed powder diffraction line list of Ac5Th3As8 for Cu Kα (λ = 1.5418 Å), from a cell relaxed with GGA-PBE.

Peak list (6 most intense, 2θ = 10–90°, by angle)
two_theta	d (Å)	I (rel.)
24.66	3.611	327
28.51	3.130	1000
40.70	2.217	384
40.84	2.210	387
50.56	1.805	209
74.29	1.277	201

```
Ac5Th3As8
1.0
4.420 2.552 7.253
-4.420 2.552 7.253
0.000 -5.103 7.253
Ac Th As
5 3 8
Direct
0.000 0.000 0.000
0.000 0.500 0.500
0.500 0.000 0.500
0.500 0.500 0.000
0.500 0.500 0.500
0.000 0.000 0.500
0.000 0.500 0.000
0.500 0.000 0.000
0.235 0.750 0.750
0.243 0.243 0.243
0.250 0.250 0.765
0.250 0.765 0.250
0.750 0.235 0.750
0.750 0.750 0.235
0.757 0.757 0.757
0.765 0.250 0.250
```


Record 3
Computed powder diffraction line list of Ac3Au4 for Cu Kα (λ = 1.5418 Å), from a cell relaxed with GGA-PBE.

Peak list (6 most intense, 2θ = 10–90°, by angle)
two_theta	d (Å)	I (rel.)
31.89	2.806	628
33.53	2.672	1000
45.72	1.984	237
57.88	1.593	431
60.97	1.520	137
75.80	1.255	110

```
Ac3Au4
1.0
12.805 -1.984 0.000
12.805 1.984 0.000
-0.612 0.000 3.921
Ac Au
3 4
Direct
0.000 0.000 0.000
0.155 0.155 0.156
0.845 0.845 0.844
0.282 0.282 0.282
0.425 0.425 0.426
0.575 0.575 0.574
0.718 0.718 0.718
```


Record 4
Computed powder diffraction line list of Ac2B3Pd12Au for Cu Kα (λ = 1.5418 Å), from a cell relaxed with GGA-PBE.

Peak list (6 most intense, 2θ = 10–90°, by angle)
two_theta	d (Å)	I (rel.)
27.23	3.275	310
35.99	2.495	1000
37.04	2.427	481
43.30	2.090	247
47.39	1.918	245
56.03	1.641	200

```
Ac2B3Pd12Au
1.0
3.836 2.215 6.293
-3.836 2.215 6.293
0.000 -4.430 6.293
Ac B Pd Au
2 3 12 1
Direct
0.100 0.100 0.100
0.900 0.900 0.900
0.000 0.500 0.500
0.500 0.000 0.500
0.500 0.500 0.000
0.045 0.643 0.643
0.227 0.227 0.621
0.227 0.621 0.227
0.357 0.357 0.955
0.357 0.955 0.357
0.379 0.773 0.773
0.621 0.227 0.227
0.643 0.045 0.643
0.643 0.643 0.045
0.773 0.379 0.773
0.773 0.773 0.379
0.955 0.357 0.357
0.500 0.500 0.500
```


Record 5
Computed powder diffraction line list of BaAcAu10 for Cu Kα (λ = 1.5418 Å), from a cell relaxed with GGA-PBE.

Peak list (6 most intense, 2θ = 10–90°, by angle)
two_theta	d (Å)	I (rel.)
35.23	2.548	298
36.10	2.488	515
36.56	2.458	1000
39.20	2.298	474
40.48	2.228	487
77.73	1.229	330

```
BaAcAu10
1.0
4.597 0.000 0.000
0.000 5.918 0.000
0.000 0.000 10.018
Ba Ac Au
1 1 10
Direct
0.000 0.000 0.000
0.000 0.500 0.500
0.000 0.000 0.336
0.000 0.000 0.664
0.000 0.500 0.170
0.000 0.500 0.830
0.500 0.000 0.500
0.500 0.255 0.257
0.500 0.255 0.743
0.500 0.500 0.000
0.500 0.745 0.257
0.500 0.745 0.743
```


Record 6
Computed powder diffraction line list of BaAcAu4 for Cu Kα (λ = 1.5418 Å), from a cell relaxed with GGA-PBE.

Peak list (6 most intense, 2θ = 10–90°, by angle)
two_theta	d (Å)	I (rel.)
30.49	2.932	1000
32.33	2.769	638
40.93	2.205	451
41.13	2.195	469
53.25	1.720	318
59.42	1.555	306

```
BaAcAu4
1.0
-2.195 2.195 8.924
2.195 -2.195 8.924
2.195 2.195 -8.924
Ba Ac Au
1 1 4
Direct
0.000 0.000 0.000
0.750 0.250 0.500
0.173 0.673 0.500
0.327 0.827 0.500
0.421 0.421 0.000
0.579 0.579 0.000
```


Record 7
Computed powder diffraction line list of Ba3AcAu4 for Cu Kα (λ = 1.5418 Å), from a cell relaxed with GGA-PBE.

Peak list (6 most intense, 2θ = 10–90°, by angle)
two_theta	d (Å)	I (rel.)
31.67	2.825	1000
45.41	1.997	187
56.42	1.631	395
66.16	1.412	123
75.21	1.263	172
83.90	1.153	44

```
Ba3AcAu4
1.0
-3.995 3.995 3.995
3.995 -3.995 3.995
3.995 3.995 -3.995
Ba Ac Au
3 1 4
Direct
0.000 0.500 0.500
0.500 0.000 0.500
0.500 0.500 0.000
0.000 0.000 0.000
0.000 0.000 0.500
0.000 0.500 0.000
0.500 0.000 0.000
0.500 0.500 0.500
```


Record 8
Computed powder diffraction line list of Ba2AcAu3 for Cu Kα (λ = 1.5418 Å), from a cell relaxed with GGA-PBE.

Peak list (6 most intense, 2θ = 10–90°, by angle)
two_theta	d (Å)	I (rel.)
26.91	3.313	1000
38.43	2.342	524
47.39	1.918	138
47.67	1.908	145
62.72	1.481	247
69.67	1.350	141

```
Ba2AcAu3
1.0
7.437 -3.310 0.000
7.437 3.310 0.000
-2.930 0.000 8.867
Ba Ac Au
4 2 6
Direct
0.167 0.168 0.084
0.168 0.167 0.584
0.832 0.833 0.416
0.833 0.832 0.916
0.499 0.501 0.750
0.501 0.499 0.250
0.001 0.999 0.250
0.345 0.346 0.423
0.346 0.345 0.923
0.654 0.655 0.077
0.655 0.654 0.577
0.999 0.001 0.750
```


Record 9
Computed powder diffraction line list of Ba2Ac5Ir2Au2 for Cu Kα (λ = 1.5418 Å), from a cell relaxed with GGA-PBE.

Peak list (6 most intense, 2θ = 10–90°, by angle)
two_theta	d (Å)	I (rel.)
12.53	7.067	786
24.97	3.566	391
30.61	2.920	1000
32.36	2.766	518
43.84	2.065	380
45.15	2.008	417

```
Ba2Ac5Ir2Au2
1.0
-2.920 2.920 14.134
2.920 -2.920 14.134
2.920 2.920 -14.134
Ba Ac Ir Au
2 5 2 2
Direct
0.220 0.220 0.000
0.780 0.780 0.000
0.000 0.000 0.000
0.114 0.614 0.500
0.386 0.886 0.500
0.614 0.114 0.500
0.886 0.386 0.500
0.099 0.099 0.000
0.901 0.901 0.000
0.336 0.336 0.000
0.664 0.664 0.000
```


Record 10
Computed powder diffraction line list of AcBe3Au6 for Cu Kα (λ = 1.5418 Å), from a cell relaxed with GGA-PBE.

Peak list (6 most intense, 2θ = 10–90°, by angle)
two_theta	d (Å)	I (rel.)
26.17	3.405	384
29.12	3.066	440
30.02	2.977	407
33.96	2.640	562
35.79	2.509	1000
42.73	2.116	572

```
AcBe3Au6
1.0
2.925 1.689 6.133
-2.925 1.689 6.133
0.000 -3.377 6.133
Ac Be Au
1 3 6
Direct
0.000 0.000 0.000
0.306 0.306 0.306
0.642 0.642 0.642
0.834 0.834 0.834
0.078 0.572 0.574
0.296 0.471 0.884
0.471 0.884 0.296
0.572 0.574 0.078
0.574 0.078 0.572
0.884 0.296 0.471
```


Record 11
Computed powder diffraction line list of Ac2BeCdAu6 for Cu Kα (λ = 1.5418 Å), from a cell relaxed with GGA-PBE.

Peak list (6 most intense, 2θ = 10–90°, by angle)
two_theta	d (Å)	I (rel.)
32.81	2.729	803
33.25	2.694	876
33.47	2.678	1000
37.15	2.420	772
37.43	2.403	831
56.82	1.620	557

```
Ac2BeCdAu6
1.0
6.480 0.000 0.000
3.202 5.639 0.000
3.097 -1.675 6.459
Ac Be Cd Au
2 1 1 6
Direct
0.023 0.241 0.187
0.977 0.759 0.813
0.500 0.000 0.500
0.500 0.500 0.000
0.038 0.226 0.709
0.390 0.329 0.355
0.400 0.787 0.341
0.600 0.213 0.659
0.610 0.671 0.645
0.962 0.774 0.291
```


Record 12
Computed powder diffraction line list of Ac2BeAuO6 for Cu Kα (λ = 1.5418 Å), from a cell relaxed with GGA-PBE.

Peak list (6 most intense, 2θ = 10–90°, by angle)
two_theta	d (Å)	I (rel.)
22.97	3.872	275
29.12	3.067	1000
30.49	2.932	345
31.04	2.882	709
31.18	2.869	452
43.44	2.083	364

```
Ac2BeAuO6
1.0
5.758 0.000 0.000
0.000 6.265 0.000
-5.052 0.000 8.339
Ac Be Au O
4 2 2 12
Direct
0.233 0.089 0.241
0.233 0.411 0.741
0.767 0.589 0.259
0.767 0.911 0.759
0.500 0.000 0.000
0.500 0.500 0.500
0.000 0.000 0.500
0.000 0.500 0.000
0.111 0.219 0.947
0.111 0.281 0.447
0.211 0.670 0.926
0.211 0.830 0.426
0.439 0.044 0.834
0.439 0.456 0.334
0.561 0.544 0.666
0.561 0.956 0.166
0.789 0.170 0.574
0.789 0.330 0.074
0.889 0.719 0.553
0.889 0.781 0.053
```